# 1
Structure and calculated powder diffraction line list of PuSc5P6 (the GGA-PBE geometry in Alexandria; Cu Kα, 1.54184 Å).

Largest 8 diffraction maxima, low angle first, 2θ from 5° to 70°:
- 2θ 14.3, intensity 192, (0 0 1)
- 2θ 16.3, intensity 296, (1 1 0)
- 2θ 18.3, intensity 232, (1 1 -1)
- 2θ 21.2, intensity 170, (0 2 1)
- 2θ 28.8, intensity 347, (2 0 0)
- 2θ 33.4, intensity 1000, (1 3 1)
- 2θ 47.9, intensity 688, (2 0 2)
- 2θ 59.7, intensity 232, (4 0 0)

Atomic structure:
Unit cell a=6.5733 b=11.3834 c=6.5757 alpha=90.00 beta=109.50 gamma=90.00
Space group C2/m (No. 12)
Inequivalent atoms, fractional coordinates:
Pu 0.0000 0.0000 0.0000 (multiplicity 2)
Sc 0.0000 0.1656 0.5000 (multiplicity 4)
Sc 0.0000 0.3332 0.0000 (multiplicity 4)
Sc 0.0000 0.5000 0.5000 (multiplicity 2)
P 0.2461 0.3310 0.7455 (multiplicity 8)
P 0.2457 0.5000 0.2522 (multiplicity 4)

# 2
Structure and calculated powder diffraction line list of PuZrSc2P4 (the GGA-PBE geometry in Alexandria; Cu Kα, 1.54184 Å).

Largest 8 diffraction maxima, low angle first, 2θ from 5° to 70°:
- 2θ 14.3, intensity 865, (1 0 0)
- 2θ 27.4, intensity 581, (0 1 1)
- 2θ 28.7, intensity 640, (0 0 2)
- 2θ 33.3, intensity 1000, (1 1 1)
- 2θ 33.4, intensity 495, (2 0 -2)
- 2θ 47.7, intensity 530, (0 2 0)
- 2θ 48.0, intensity 347, (3 1 -1)
- 2θ 59.4, intensity 271, (2 2 -2)

Atomic structure:
Unit cell a=6.5557 b=3.8180 c=6.6011 alpha=90.00 beta=109.39 gamma=90.00
Space group P2/m (No. 10)
Inequivalent atoms, fractional coordinates:
Pu 0.0000 0.0000 0.0000 (multiplicity 1)
Zr 0.0000 0.5000 0.5000 (multiplicity 1)
Sc 0.5000 0.0000 0.5000 (multiplicity 1)
Sc 0.5000 0.5000 0.0000 (multiplicity 1)
P 0.2539 0.0000 0.7460 (multiplicity 2)
P 0.2574 0.5000 0.2582 (multiplicity 2)